PbS: computed XRD peak list (Cu Kα (weighted mean of Kα1 and Kα2)), based on a structure optimized by DFT (GGA-PBE).
Kinematic intensities with the Lorentz-polarization factor, no thermal factor.

The 10 most intense peaks (5° ≤ 2θ ≤ 70°), most intense first:
2θ/deg, Rel. int., index
22.70, 100, 0 2 2
25.01, 36, 1 1 1
32.13, 34, 1 1 3
31.99, 29, 1 2 2
28.21, 26, 0 0 4
51.33, 25, 2 2 2
35.83, 23, 1 3 1
26.38, 23, 1 0 2
46.76, 21, 0 2 6
36.00, 20, 0 4 0

Cell and atoms:
a = 3.996 Å, b = 9.979 Å, c = 12.653 Å
α = 90.00°, β = 90.00°, γ = 90.00°
Space group Amm2 (No. 38)
Asymmetric unit:
Pb1 0.000 0.000 0.000 (multiplicity 2)
Pb2 0.000 0.225 0.263 (multiplicity 4)
Pb3 0.500 0.000 0.512 (multiplicity 2)
S1 0.000 0.000 0.375 (multiplicity 2)
S2 0.500 0.000 0.162 (multiplicity 2)
S3 0.500 0.221 0.917 (multiplicity 4)

PbS: computed XRD peak list (Cu Kα (weighted mean of Kα1 and Kα2)), based on a structure optimized by DFT (GGA-PBE).
Kinematic intensities with the Lorentz-polarization factor, no thermal factor.

The 10 most intense peaks (5° ≤ 2θ ≤ 70°), most intense first:
2θ/deg, Rel. int., index
7.83, 100, 1 0 0
26.24, 26, 2 1 1
22.35, 20, 1 1 1
29.73, 19, 0 2 0
30.79, 18, 1 2 0
31.71, 16, 4 0 0
43.99, 13, 4 2 0
54.01, 11, 4 2 2
50.67, 10, 2 1 3
38.32, 9, 3 2 0

Cell and atoms:
a = 11.298 Å, b = 6.009 Å, c = 6.012 Å
α = 90.00°, β = 90.00°, γ = 90.00°
Space group Aem2 (No. 39)
Asymmetric unit:
Pb1 0.125 0.250 0.000 (multiplicity 4)
S1 0.114 0.250 0.508 (multiplicity 4)

PbS: computed XRD peak list (Cu Kα (weighted mean of Kα1 and Kα2)), based on a structure optimized by DFT (GGA-PBE).
Kinematic intensities with the Lorentz-polarization factor, no thermal factor.

The 10 most intense peaks (5° ≤ 2θ ≤ 70°), most intense first:
2θ/deg, Rel. int., index
23.62, 100, 0 1 1
23.27, 90, 1 0 2
21.84, 89, 1 0 -2
28.35, 88, 1 1 1
33.84, 65, 0 1 3
27.77, 60, 1 1 -1
30.12, 59, 2 0 0
38.19, 58, 2 1 -1
34.03, 50, 0 0 4
47.06, 48, 2 1 3

Cell and atoms:
a = 5.946 Å, b = 4.033 Å, c = 10.560 Å
α = 90.00°, β = 93.60°, γ = 90.00°
Space group P2_1/m (No. 11)
Asymmetric unit:
Pb1 0.191 0.250 0.133 (multiplicity 2)
Pb2 0.254 0.750 0.603 (multiplicity 2)
S1 0.117 0.250 0.856 (multiplicity 2)
S2 0.238 0.250 0.425 (multiplicity 2)